No. 1
The following is a theoretical powder diffraction line list of Pu3Si2. It was derived from a crystal structure in the Materials Project, relaxed with GGA-PBE, using Cu Kα (weighted mean of Kα1 and Kα2).

Top 10 peaks for 10 to 90 degrees two-theta, in order of rising 2θ:
- (2 1 0), 27.57 deg, d = 3.235 Å, intensity 43
- (1 1 1), 28.03 deg, d = 3.184 Å, intensity 41
- (2 0 1), 33.14 deg, d = 2.703 Å, intensity 100
- (2 2 0), 35.08 deg, d = 2.558 Å, intensity 27
- (2 1 1), 35.45 deg, d = 2.532 Å, intensity 73
- (3 1 0), 39.39 deg, d = 2.288 Å, intensity 42
- (0 0 2), 44.56 deg, d = 2.034 Å, intensity 22
- (4 1 1), 57.18 deg, d = 1.611 Å, intensity 25
- (3 3 1), 58.71 deg, d = 1.573 Å, intensity 29
- (3 1 2), 60.96 deg, d = 1.520 Å, intensity 24

Crystal structure
```
data_Pu3Si2
_chemical_formula_sum 'Pu6 Si4'
_cell_length_a 7.2343
_cell_length_b 7.2343
_cell_length_c 4.0671
_cell_angle_alpha 90.00
_cell_angle_beta 90.00
_cell_angle_gamma 90.00
_space_group_name_H-M_alt 'P 4/m b m'
_space_group_IT_number 127
_space_group_name_Hall '-P 4 2ab'
loop_
_atom_site_label
_atom_site_type_symbol
_atom_site_fract_x
_atom_site_fract_y
_atom_site_fract_z
Pu1 Pu 0.0000 0.0000 0.0000
Pu2 Pu 0.1817 0.3183 0.5000
Si1 Si 0.1164 0.6164 0.0000
```


No. 2
The following is a theoretical powder diffraction line list of Mg7Si4. It was derived from a crystal structure in the Materials Project, relaxed with GGA-PBE, using Cu Kα (weighted mean of Kα1 and Kα2).

Top 10 peaks for 10 to 90 degrees two-theta, in order of rising 2θ:
- (0 0 2), 12.40 deg, d = 7.140 Å, intensity 33
- (1 2 1), 33.68 deg, d = 2.661 Å, intensity 53
- (-1 2 1), 33.89 deg, d = 2.645 Å, intensity 46
- (1 -2 1), 34.29 deg, d = 2.615 Å, intensity 30
- (1 1 -3), 34.98 deg, d = 2.565 Å, intensity 28
- (0 1 6), 38.42 deg, d = 2.343 Å, intensity 100
- (0 3 -4), 39.91 deg, d = 2.259 Å, intensity 84
- (0 4 2), 40.20 deg, d = 2.243 Å, intensity 92
- (2 0 0), 55.88 deg, d = 1.645 Å, intensity 45
- (2 -3 4), 70.80 deg, d = 1.331 Å, intensity 30

Crystal structure
```
data_Mg7Si4
_chemical_formula_sum 'Mg14 Si8'
_cell_length_a 3.2906
_cell_length_b 9.2635
_cell_length_c 14.3126
_cell_angle_alpha 86.17
_cell_angle_beta 89.53
_cell_angle_gamma 89.73
_space_group_name_H-M_alt 'P 1'
_space_group_IT_number 1
_space_group_name_Hall 'P 1'
loop_
_atom_site_label
_atom_site_type_symbol
_atom_site_fract_x
_atom_site_fract_y
_atom_site_fract_z
Mg1 Mg 0.0000 0.0000 0.0000
Mg2 Mg 0.0013 0.1437 0.3398
Mg3 Mg 0.0035 0.3765 0.4718
Mg4 Mg 0.0047 0.9051 0.2171
Mg5 Mg 0.0065 0.6130 0.9339
Mg6 Mg 0.0133 0.7955 0.5384
Mg7 Mg 0.4893 0.1924 0.1469
Mg8 Mg 0.4981 0.5177 0.6201
Mg9 Mg 0.5033 0.7532 0.0755
Mg10 Mg 0.5079 0.0971 0.5263
Mg11 Mg 0.9455 0.3030 0.9550
Mg12 Mg 0.9811 0.2384 0.6959
Mg13 Mg 0.9913 0.7181 0.7409
Mg14 Mg 0.9993 0.4845 0.1471
Si1 Si 0.4737 0.4472 0.8094
Si2 Si 0.4754 0.1151 0.8514
Si3 Si 0.4771 0.9748 0.7072
Si4 Si 0.4968 0.3867 0.3013
Si5 Si 0.4981 0.8500 0.8739
Si6 Si 0.5042 0.6176 0.4256
Si7 Si 0.5082 0.6580 0.2603
Si8 Si 0.5138 0.8936 0.3870
```


No. 3
The following is a theoretical powder diffraction line list of BaEu3. It was derived from a crystal structure in the Materials Project, relaxed with GGA-PBE, using Cu Kα (weighted mean of Kα1 and Kα2).

Top 8 peaks for 10 to 90 degrees two-theta, in order of rising 2θ:
- (2 2 0), 27.45 deg, d = 3.250 Å, intensity 100
- (4 0 0), 39.21 deg, d = 2.298 Å, intensity 19
- (4 2 2), 48.52 deg, d = 1.876 Å, intensity 42
- (4 4 0), 56.65 deg, d = 1.625 Å, intensity 13
- (6 2 0), 64.07 deg, d = 1.453 Å, intensity 18
- (4 4 4), 71.06 deg, d = 1.327 Å, intensity 5
- (6 4 2), 77.76 deg, d = 1.228 Å, intensity 21
- (8 0 0), 84.29 deg, d = 1.149 Å, intensity 2

Crystal structure
```
data_BaEu3
_chemical_formula_sum 'Ba4 Eu12'
_cell_length_a 9.1913
_cell_length_b 9.1913
_cell_length_c 9.1913
_cell_angle_alpha 90.00
_cell_angle_beta 90.00
_cell_angle_gamma 90.00
_space_group_name_H-M_alt 'F m -3 m'
_space_group_IT_number 225
_space_group_name_Hall '-F 4 2 3'
loop_
_atom_site_label
_atom_site_type_symbol
_atom_site_fract_x
_atom_site_fract_y
_atom_site_fract_z
Ba1 Ba 0.0000 0.0000 0.0000
Eu1 Eu 0.0000 0.0000 0.5000
Eu2 Eu 0.2500 0.2500 0.2500
```